# Mn6O5F7
Calculated PXRD pattern, Cu Kα. Input: a cell relaxed with GGA+U.
Peak positions follow from Bragg's law for the DFT cell and can differ from measured ones.

Structure:
```
data_Mn6O5F7
_chemical_formula_sum 'Mn6 O5 F7'
_space_group_name_H-M_alt 'P 1'
_space_group_IT_number 1
_space_group_name_Hall 'P 1'
_cell_length_a 4.639
_cell_length_b 5.708
_cell_length_c 7.964
_cell_angle_alpha 86.94
_cell_angle_beta 89.18
_cell_angle_gamma 88.62
loop_
_atom_site_label
_atom_site_type_symbol
_atom_site_fract_x
_atom_site_fract_y
_atom_site_fract_z
Mn1 Mn 0.000 0.000 0.000
Mn2 Mn 0.004 0.673 0.331
Mn3 Mn 0.030 0.313 0.643
Mn4 Mn 0.482 0.166 0.308
Mn5 Mn 0.504 0.850 0.691
Mn6 Mn 0.509 0.497 0.991
O1 O 0.197 0.029 0.777
O2 O 0.204 0.385 0.415
O3 O 0.314 0.220 0.087
O4 O 0.703 0.777 0.900
O5 O 0.816 0.963 0.228
F1 F 0.233 0.707 0.108
F2 F 0.289 0.536 0.768
F3 F 0.293 0.869 0.453
F4 F 0.679 0.139 0.542
F5 F 0.728 0.471 0.217
F6 F 0.786 0.293 0.871
F7 F 0.787 0.643 0.568
```

Largest 6 diffraction maxima, sorted by position, 2θ from 10° to 80°:
2θ/deg	d/Å	I (rel.)	index
26.48	3.366	1000	1 1 1
27.23	3.275	920	-1 1 1
33.82	2.651	206	0 0 3
33.98	2.638	284	0 2 -1
34.17	2.624	584	1 1 -2
52.06	1.757	339	2 0 3